Starting from DFT lattice parameters and positions (GGA-PBE), the powder diffraction line list of TbPrTmZn was calculated for copper Kα.
Intensities are scaled so that the largest is 100.

Largest 10 diffraction maxima, in order of rising 2θ, 10 to 90 degrees two-theta:
26.9 deg, I = 20; 30.7 deg, I = 14; 32.3 deg, I = 100; 35.4 deg, I = 50; 47.6 deg, I = 17; 51.0 deg, I = 18; 55.5 deg, I = 10; 58.8 deg, I = 13; 61.7 deg, I = 31; 81.5 deg, I = 10

Cell: 3.5823 3.5823 8.7409 Å, 90.00 90.00 90.00°
Space group P4mm (No. 99)
Asymmetric unit:
Tb: 0.0000 0.0000 0.0000 (multiplicity 1)
Pr: 0.5000 0.5000 0.3027 (multiplicity 1)
Tm: 0.0000 0.0000 0.5989 (multiplicity 1)
Zn: 0.5000 0.5000 0.7920 (multiplicity 1)


Starting from DFT lattice parameters and positions (GGA-PBE), the powder diffraction line list of TbPr5Y6 was calculated for copper Kα.
Intensities are scaled so that the largest is 100.

Largest 10 diffraction maxima, in order of rising 2θ, 10 to 90 degrees two-theta:
30.1 deg, I = 100; 30.5 deg, I = 32; 35.0 deg, I = 67; 50.1 deg, I = 24; 50.6 deg, I = 23; 59.6 deg, I = 14; 59.8 deg, I = 28; 60.2 deg, I = 14; 62.6 deg, I = 12; 81.6 deg, I = 11

Cell: 6.3025 10.9133 11.9231 Å, 90.00 100.11 90.00°
Space group C2/m (No. 12)
Asymmetric unit:
Tb: 0.0000 0.0000 0.0000 (multiplicity 2)
Pr: 0.0000 0.1668 0.5000 (multiplicity 4)
Pr: 0.0000 0.3334 0.0000 (multiplicity 4)
Pr: 0.0000 0.5000 0.5000 (multiplicity 2)
Y: 0.2489 0.1664 0.2489 (multiplicity 8)
Y: 0.2501 0.0000 0.7509 (multiplicity 4)


Starting from DFT lattice parameters and positions (GGA-PBE), the powder diffraction line list of Tb2Pr3Y6 was calculated for copper Kα.
Intensities are scaled so that the largest is 100.

Largest 10 diffraction maxima, in order of rising 2θ, 10 to 90 degrees two-theta:
30.3 deg, I = 100; 30.5 deg, I = 32; 35.2 deg, I = 66; 50.5 deg, I = 24; 50.8 deg, I = 23; 60.1 deg, I = 14; 60.2 deg, I = 27; 60.4 deg, I = 13; 63.1 deg, I = 12; 82.2 deg, I = 11

Cell: 3.6136 3.6136 96.5984 Å, 90.00 90.00 120.00°
Space group R-3m (No. 166, hexagonal axes)
Asymmetric unit:
Tb: 0.0000 0.0000 0.0449 (multiplicity 6)
Pr: 0.0000 0.0000 0.2279 (multiplicity 6)
Pr: 0.0000 0.0000 0.5000 (multiplicity 3)
Y: 0.0000 0.0000 0.1360 (multiplicity 6)
Y: 0.0000 0.0000 0.3183 (multiplicity 6)
Y: 0.0000 0.0000 0.4080 (multiplicity 6)


Starting from DFT lattice parameters and positions (GGA-PBE), the powder diffraction line list of TbPrY5 was calculated for copper Kα.
Intensities are scaled so that the largest is 100.

Largest 10 diffraction maxima, in order of rising 2θ, 10 to 90 degrees two-theta:
21.9 deg, I = 13; 24.8 deg, I = 21; 28.6 deg, I = 25; 31.5 deg, I = 40; 31.8 deg, I = 100; 32.1 deg, I = 21; 32.2 deg, I = 46; 33.0 deg, I = 12; 56.2 deg, I = 12; 56.7 deg, I = 13

Cell: 8.8548 9.7308 11.6097 Å, 90.00 110.74 90.00°
Space group C2/c (No. 15)
Asymmetric unit:
Tb: 0.0000 0.2414 0.2500 (multiplicity 4)
Pr: 0.2500 0.2500 0.0000 (multiplicity 4)
Y: 0.0000 0.4145 0.7500 (multiplicity 4)
Y: 0.1240 0.0710 0.6656 (multiplicity 8)
Y: 0.1702 0.3974 0.5357 (multiplicity 8)


Starting from DFT lattice parameters and positions (GGA-PBE), the powder diffraction line list of Tb2Pr4Y3 was calculated for copper Kα.
Intensities are scaled so that the largest is 100.

Largest 10 diffraction maxima, in order of rising 2θ, 10 to 90 degrees two-theta:
30.1 deg, I = 100; 34.8 deg, I = 34; 35.1 deg, I = 17; 50.1 deg, I = 12; 50.3 deg, I = 18; 59.5 deg, I = 21; 59.6 deg, I = 7; 59.9 deg, I = 7; 60.0 deg, I = 7; 62.6 deg, I = 6

Cell: 11.4320 5.1572 10.8959 Å, 90.00 108.07 90.00°
Space group C2/m (No. 12)
Asymmetric unit:
Tb: 0.1678 0.0000 0.2243 (multiplicity 4)
Pr: 0.0003 0.5000 0.3319 (multiplicity 4)
Pr: 0.1671 0.0000 0.8886 (multiplicity 4)
Y: 0.0000 0.5000 0.0000 (multiplicity 2)
Y: 0.1660 0.0000 0.5538 (multiplicity 4)


Starting from DFT lattice parameters and positions (GGA-PBE), the powder diffraction line list of TbPr10Y6 was calculated for copper Kα.
Intensities are scaled so that the largest is 100.

Largest 10 diffraction maxima, in order of rising 2θ, 10 to 90 degrees two-theta:
24.3 deg, I = 10; 30.3 deg, I = 39; 31.1 deg, I = 78; 31.3 deg, I = 100; 44.7 deg, I = 27; 47.8 deg, I = 15; 55.5 deg, I = 19; 55.8 deg, I = 18; 58.4 deg, I = 9; 61.4 deg, I = 12

Cell: 9.9479 9.9479 6.9814 Å, 90.00 90.00 120.00°
Space group P-31m (No. 162)
Asymmetric unit:
Tb: 0.0000 0.0000 0.0000 (multiplicity 1)
Pr: 0.0000 0.2751 0.3192 (multiplicity 6)
Pr: 0.3333 0.6667 0.0000 (multiplicity 2)
Pr: 0.3333 0.6667 0.5000 (multiplicity 2)
Y: 0.0000 0.3664 0.8147 (multiplicity 6)


Starting from DFT lattice parameters and positions (GGA-PBE), the powder diffraction line list of Tb5Pr3Y2 was calculated for copper Kα.
Intensities are scaled so that the largest is 100.

Largest 10 diffraction maxima, in order of rising 2θ, 10 to 90 degrees two-theta:
22.5 deg, I = 22; 30.1 deg, I = 54; 30.1 deg, I = 100; 30.2 deg, I = 45; 31.9 deg, I = 19; 33.0 deg, I = 46; 37.8 deg, I = 21; 48.7 deg, I = 19; 57.3 deg, I = 16; 65.6 deg, I = 19

Cell: 10.8433 15.8818 9.5715 Å, 90.00 124.24 90.00°
Space group C2/c (No. 15)
Asymmetric unit:
Tb: 0.0000 0.0244 0.2500 (multiplicity 4)
Tb: 0.0000 0.2709 0.7500 (multiplicity 4)
Tb: 0.0000 0.4694 0.7500 (multiplicity 4)
Tb: 0.2374 0.3854 0.2273 (multiplicity 8)
Pr: 0.0000 0.2322 0.2500 (multiplicity 4)
Pr: 0.1448 0.1245 0.0475 (multiplicity 8)
Y: 0.1521 0.3823 0.5458 (multiplicity 8)


Starting from DFT lattice parameters and positions (GGA-PBE), the powder diffraction line list of Tb2Pr6Y3 was calculated for copper Kα.
Intensities are scaled so that the largest is 100.

Largest 10 diffraction maxima, in order of rising 2θ, 10 to 90 degrees two-theta:
30.0 deg, I = 100; 30.0 deg, I = 99; 34.7 deg, I = 67; 34.9 deg, I = 33; 50.0 deg, I = 48; 59.3 deg, I = 14; 59.4 deg, I = 35; 59.5 deg, I = 14; 62.4 deg, I = 18; 81.4 deg, I = 17

Cell: 6.3179 8.1310 8.1682 Å, 107.35 97.28 104.92°
Space group P-1 (No. 2)
Asymmetric unit:
Tb: 0.2283 0.4111 0.0459 (multiplicity 2)
Pr: 0.0467 0.6814 0.4072 (multiplicity 2)
Pr: 0.1354 0.0463 0.2283 (multiplicity 2)
Pr: 0.3196 0.7702 0.8653 (multiplicity 2)
Y: 0.4092 0.1384 0.6831 (multiplicity 2)
Y: 0.5000 0.5000 0.5000 (multiplicity 1)


Starting from DFT lattice parameters and positions (GGA-PBE), the powder diffraction line list of Tb3Pr4Y2 was calculated for copper Kα.
Intensities are scaled so that the largest is 100.

Largest 10 diffraction maxima, in order of rising 2θ, 10 to 90 degrees two-theta:
28.3 deg, I = 46; 29.8 deg, I = 50; 31.3 deg, I = 77; 32.9 deg, I = 100; 41.5 deg, I = 30; 50.1 deg, I = 38; 55.9 deg, I = 28; 59.4 deg, I = 42; 61.2 deg, I = 17; 82.9 deg, I = 14

Cell: 3.6435 3.6435 26.9919 Å, 90.00 90.00 120.00°
Space group P3m1 (No. 156)
Asymmetric unit:
Tb: 0.0000 0.0000 0.0000 (multiplicity 1)
Tb: 0.0000 0.0000 0.3399 (multiplicity 1)
Tb: 0.6667 0.3333 0.6748 (multiplicity 1)
Pr: 0.0000 0.0000 0.5660 (multiplicity 1)
Pr: 0.0000 0.0000 0.7848 (multiplicity 1)
Pr: 0.6667 0.3333 0.2332 (multiplicity 1)
Pr: 0.6667 0.3333 0.4502 (multiplicity 1)
Y: 0.6667 0.3333 0.1034 (multiplicity 1)
Y: 0.6667 0.3333 0.8944 (multiplicity 1)


Starting from DFT lattice parameters and positions (GGA-PBE), the powder diffraction line list of TbPr6Y was calculated for copper Kα.
Intensities are scaled so that the largest is 100.

Largest 10 diffraction maxima, in order of rising 2θ, 10 to 90 degrees two-theta:
29.7 deg, I = 100; 29.8 deg, I = 99; 34.3 deg, I = 68; 34.7 deg, I = 33; 49.6 deg, I = 48; 58.5 deg, I = 29; 58.8 deg, I = 29; 59.1 deg, I = 28; 80.4 deg, I = 17; 82.8 deg, I = 16

Cell: 7.4142 10.3418 14.7327 Å, 90.00 90.00 90.00°
Space group Fmmm (No. 69)
Asymmetric unit:
Tb: 0.0000 0.0000 0.0000 (multiplicity 4)
Pr: 0.0000 0.0000 0.2495 (multiplicity 8)
Pr: 0.2500 0.2500 0.1232 (multiplicity 16)
Y: 0.0000 0.0000 0.5000 (multiplicity 4)


Starting from DFT lattice parameters and positions (GGA-PBE), the powder diffraction line list of Tb2Pr6Y was calculated for copper Kα.
Intensities are scaled so that the largest is 100.

Largest 10 diffraction maxima, in order of rising 2θ, 10 to 90 degrees two-theta:
29.4 deg, I = 61; 29.9 deg, I = 49; 30.1 deg, I = 60; 31.0 deg, I = 100; 36.4 deg, I = 35; 37.0 deg, I = 27; 48.2 deg, I = 14; 48.8 deg, I = 14; 53.8 deg, I = 13; 54.3 deg, I = 22

Cell: 16.6445 11.9629 6.3113 Å, 90.00 96.29 90.00°
Space group C2/c (No. 15)
Asymmetric unit:
Tb: 0.1665 0.1014 0.0852 (multiplicity 8)
Pr: 0.0482 0.1389 0.5140 (multiplicity 8)
Pr: 0.1185 0.3583 0.8185 (multiplicity 8)
Pr: 0.2152 0.3615 0.3472 (multiplicity 8)
Y: 0.0000 0.3992 0.2500 (multiplicity 4)


Starting from DFT lattice parameters and positions (GGA-PBE), the powder diffraction line list of Tb5PrY3 was calculated for copper Kα.
Intensities are scaled so that the largest is 100.

Largest 10 diffraction maxima, in order of rising 2θ, 10 to 90 degrees two-theta:
16.1 deg, I = 21; 16.8 deg, I = 32; 28.1 deg, I = 60; 30.1 deg, I = 39; 31.2 deg, I = 79; 31.4 deg, I = 100; 32.2 deg, I = 77; 32.3 deg, I = 59; 34.3 deg, I = 44; 55.2 deg, I = 28

Cell: 18.4325 6.3458 11.3510 Å, 90.00 111.99 90.00°
Space group C2/c (No. 15)
Asymmetric unit:
Tb: 0.0000 0.1040 0.2500 (multiplicity 4)
Tb: 0.1705 0.2137 0.7104 (multiplicity 8)
Tb: 0.1700 0.3193 0.3713 (multiplicity 8)
Pr: 0.0000 0.3656 0.7500 (multiplicity 4)
Y: 0.0000 0.5000 0.0000 (multiplicity 4)
Y: 0.1611 0.1927 0.0151 (multiplicity 8)


Starting from DFT lattice parameters and positions (GGA-PBE), the powder diffraction line list of Tb5Pr2Y was calculated for copper Kα.
Intensities are scaled so that the largest is 100.

Largest 10 diffraction maxima, in order of rising 2θ, 10 to 90 degrees two-theta:
29.1 deg, I = 30; 30.0 deg, I = 25; 30.9 deg, I = 25; 31.1 deg, I = 100; 42.5 deg, I = 10; 43.7 deg, I = 11; 45.1 deg, I = 8; 55.5 deg, I = 11; 60.2 deg, I = 8; 64.9 deg, I = 8

Cell: 16.3705 9.9645 6.6239 Å, 90.00 99.50 90.00°
Space group C2/c (No. 15)
Asymmetric unit:
Tb: 0.0000 0.0600 0.2500 (multiplicity 4)
Tb: 0.1003 0.4121 0.1481 (multiplicity 8)
Tb: 0.1988 0.0881 0.0260 (multiplicity 8)
Pr: 0.0794 0.2542 0.6185 (multiplicity 8)
Y: 0.2500 0.2500 0.5000 (multiplicity 4)